No. 1
# KMnPH2O5
Simulated X-ray powder pattern, a wavelength of 1.5418 Å. Input: the GGA+U geometry in Alexandria.
Neutral-atom scattering factors, no anomalous dispersion.

Structure:
Cell: 5.758 8.486 4.919 Å, 90.00 90.00 90.00°
Space group Pmn2_1 (No. 31)
Symmetry-distinct sites (fractional):
K 0.000 0.036 0.000 x2
Mn 0.000 0.480 0.894 x2
P 0.000 0.718 0.461 x2
H 0.136 0.301 0.445 x4
O 0.000 0.287 0.566 x2
O 0.000 0.680 0.155 x2
O 0.000 0.896 0.509 x2
O 0.217 0.637 0.604 x4

Top 10 peaks for 10° ≤ 2θ ≤ 80°, most intense first:
- 2θ = 31.90°, d = 2.806 Å, rel. 100.0
- 2θ = 10.42°, d = 8.486 Å, rel. 49.0
- 2θ = 31.06°, d = 2.879 Å, rel. 40.2
- 2θ = 20.88°, d = 4.254 Å, rel. 32.3
- 2θ = 55.79°, d = 1.648 Å, rel. 16.0
- 2θ = 36.54°, d = 2.459 Å, rel. 14.9
- 2θ = 37.74°, d = 2.384 Å, rel. 13.4
- 2θ = 48.69°, d = 1.870 Å, rel. 12.7
- 2θ = 42.15°, d = 2.144 Å, rel. 12.2
- 2θ = 26.04°, d = 3.422 Å, rel. 12.1


No. 2
# KMnH5S2O10
Simulated X-ray powder pattern, a wavelength of 1.5418 Å. Input: the GGA+U geometry in Alexandria.
Neutral-atom scattering factors, no anomalous dispersion.

Structure:
Cell: 4.812 5.913 8.444 Å, 103.86 98.84 96.92°
Space group P1 (No. 1)
Symmetry-distinct sites (fractional):
K 0.000 0.000 0.000 x1
Mn 0.959 0.000 0.514 x1
H 0.289 0.680 0.639 x1
H 0.449 0.522 0.022 x1
H 0.613 0.301 0.392 x1
H 0.908 0.335 0.332 x1
H 0.982 0.650 0.686 x1
S 0.334 0.674 0.264 x1
S 0.573 0.317 0.760 x1
O 0.125 0.760 0.655 x1
O 0.162 0.865 0.298 x1
O 0.171 0.436 0.234 x1
O 0.329 0.277 0.618 x1
O 0.432 0.692 0.099 x1
O 0.467 0.301 0.916 x1
O 0.589 0.713 0.396 x1
O 0.737 0.555 0.787 x1
O 0.753 0.129 0.724 x1
O 0.773 0.222 0.364 x1

Top 10 peaks for 10° ≤ 2θ ≤ 80°, most intense first:
- 2θ = 16.60°, d = 5.340 Å, rel. 100.0
- 2θ = 26.59°, d = 3.353 Å, rel. 95.4
- 2θ = 26.30°, d = 3.388 Å, rel. 60.4
- 2θ = 31.37°, d = 2.852 Å, rel. 39.2
- 2θ = 25.39°, d = 3.509 Å, rel. 39.0
- 2θ = 23.51°, d = 3.784 Å, rel. 38.7
- 2θ = 23.69°, d = 3.756 Å, rel. 38.1
- 2θ = 24.90°, d = 3.576 Å, rel. 34.9
- 2θ = 30.44°, d = 2.936 Å, rel. 33.9
- 2θ = 39.79°, d = 2.265 Å, rel. 30.5


No. 3
# K2MnH4Se2O10
Simulated X-ray powder pattern, a wavelength of 1.5418 Å. Input: the GGA+U geometry in Alexandria.
Neutral-atom scattering factors, no anomalous dispersion.

Structure:
Cell: 5.864 7.189 8.244 Å, 100.45 102.92 105.58°
Space group P-1 (No. 2)
Symmetry-distinct sites (fractional):
K 0.003 0.443 0.246 x2
Mn 0.000 0.000 0.500 x1
H 0.041 0.158 0.862 x2
H 0.263 0.285 0.026 x2
Se 0.447 0.101 0.305 x2
O 0.117 0.293 0.942 x2
O 0.119 0.789 0.522 x2
O 0.137 0.072 0.316 x2
O 0.405 0.778 0.471 x2
O 0.491 0.285 0.205 x2

Top 10 peaks for 10° ≤ 2θ ≤ 80°, most intense first:
- 2θ = 19.61°, d = 4.527 Å, rel. 100.0
- 2θ = 11.39°, d = 7.766 Å, rel. 84.1
- 2θ = 13.23°, d = 6.692 Å, rel. 54.4
- 2θ = 27.98°, d = 3.189 Å, rel. 35.5
- 2θ = 20.15°, d = 4.408 Å, rel. 30.9
- 2θ = 33.11°, d = 2.705 Å, rel. 29.3
- 2θ = 39.04°, d = 2.307 Å, rel. 28.6
- 2θ = 27.27°, d = 3.271 Å, rel. 23.3
- 2θ = 30.46°, d = 2.935 Å, rel. 20.9
- 2θ = 31.74°, d = 2.820 Å, rel. 20.7


No. 4
# K2MnH4Se2O10
Simulated X-ray powder pattern, a wavelength of 1.5418 Å. Input: the GGA+U geometry in Alexandria.
Neutral-atom scattering factors, no anomalous dispersion.

Structure:
Cell: 6.104 7.244 8.600 Å, 67.83 69.48 67.06°
Space group P-1 (No. 2)
Symmetry-distinct sites (fractional):
K 0.135 0.221 0.427 x2
Mn 0.500 0.000 0.000 x1
H 0.308 0.673 0.315 x2
H 0.470 0.441 0.383 x2
Se 0.190 0.829 0.855 x2
O 0.018 0.101 0.817 x2
O 0.245 0.951 0.192 x2
O 0.275 0.797 0.656 x2
O 0.300 0.534 0.395 x2
O 0.459 0.859 0.864 x2

Top 10 peaks for 10° ≤ 2θ ≤ 80°, most intense first:
- 2θ = 13.82°, d = 6.407 Å, rel. 100.0
- 2θ = 20.32°, d = 4.371 Å, rel. 95.8
- 2θ = 26.99°, d = 3.303 Å, rel. 37.1
- 2θ = 31.42°, d = 2.847 Å, rel. 35.2
- 2θ = 29.28°, d = 3.050 Å, rel. 26.3
- 2θ = 27.68°, d = 3.223 Å, rel. 23.5
- 2θ = 17.95°, d = 4.942 Å, rel. 22.5
- 2θ = 11.44°, d = 7.734 Å, rel. 20.1
- 2θ = 33.65°, d = 2.663 Å, rel. 19.1
- 2θ = 32.95°, d = 2.718 Å, rel. 16.8


No. 5
# K2Mn3V2H2O10
Simulated X-ray powder pattern, a wavelength of 1.5418 Å. Input: the GGA+U geometry in Alexandria.
Neutral-atom scattering factors, no anomalous dispersion.

Structure:
Cell: 15.312 6.268 5.471 Å, 90.00 105.12 90.00°
Space group C2/m (No. 12)
Symmetry-distinct sites (fractional):
K 0.236 0.000 0.296 x4
Mn 0.000 0.000 0.000 x2
Mn 0.000 0.263 0.500 x4
V 0.121 0.500 0.090 x4
H 0.139 0.000 0.755 x4
O 0.073 0.000 0.716 x4
O 0.084 0.268 0.220 x8
O 0.085 0.500 0.754 x4
O 0.237 0.500 0.180 x4

Top 10 peaks for 10° ≤ 2θ ≤ 80°, most intense first:
- 2θ = 11.97°, d = 7.391 Å, rel. 100.0
- 2θ = 31.31°, d = 2.857 Å, rel. 56.1
- 2θ = 32.91°, d = 2.722 Å, rel. 48.4
- 2θ = 33.24°, d = 2.695 Å, rel. 48.2
- 2θ = 33.82°, d = 2.650 Å, rel. 47.6
- 2θ = 37.00°, d = 2.429 Å, rel. 37.2
- 2θ = 25.56°, d = 3.485 Å, rel. 36.8
- 2θ = 30.99°, d = 2.885 Å, rel. 29.4
- 2θ = 22.96°, d = 3.874 Å, rel. 28.3
- 2θ = 33.51°, d = 2.674 Å, rel. 24.3


- Number 5 is which compound?
  K2Mn3V2H2O10